For Mg8TlCd2, DFT lattice parameters and positions (PBE) gives the calculated X-ray diffraction stick pattern in this record (λ = 1.5418 Å (Cu Kα)).

The 10 most intense peaks (2θ from 5° to 70°), low angle first:
two_theta	intensity
22.0	66
22.4	74
23.9	26
26.5	49
36.0	100
37.3	29
38.3	18
40.9	20
43.9	25
44.6	25

```
Mg8TlCd2
1.0
4.4316 -7.0432 0.0000
4.4316 7.0432 0.0000
-2.6170 0.0000 4.0483
Mg Tl Cd
8 1 2
direct
0.0000 0.0000 0.0000 Mg
0.1645 0.8468 0.5056 Mg
0.2145 0.4693 0.3424 Mg
0.3438 0.7562 0.0494 Mg
0.4693 0.2145 0.3424 Mg
0.6948 0.6948 0.1957 Mg
0.7562 0.3438 0.0494 Mg
0.8468 0.1645 0.5056 Mg
0.2856 0.2856 0.7859 Tl
0.5896 0.9028 0.7451 Cd
0.9028 0.5896 0.7451 Cd
```

=====

For Th5Fe2Pt2, DFT lattice parameters and positions (PBE) gives the calculated X-ray diffraction stick pattern in this record (λ = 1.5418 Å (Cu Kα)).

The 10 most intense peaks (2θ from 5° to 70°), low angle first:
two_theta	intensity
26.5	64
27.3	52
32.1	91
33.5	95
33.7	87
33.8	82
34.0	91
35.7	100
38.3	72
38.5	67

```
Th5Fe2Pt2
1.0
7.5913 -3.7675 0.0000
7.5913 3.7675 0.0000
0.0000 0.0000 7.4741
Th Fe Pt
10 4 4
direct
0.0000 0.0000 0.0000 Th
0.0434 0.6985 0.6683 Th
0.1985 0.5434 0.1683 Th
0.3015 0.9566 0.6683 Th
0.4566 0.8015 0.1683 Th
0.5000 0.5000 0.5000 Th
0.5434 0.1985 0.8317 Th
0.6985 0.0434 0.3317 Th
0.8015 0.4566 0.8317 Th
0.9566 0.3015 0.3317 Th
0.1401 0.8599 0.3625 Fe
0.3599 0.6401 0.8625 Fe
0.6401 0.3599 0.1375 Fe
0.8599 0.1401 0.6375 Fe
0.2127 0.2127 0.0000 Pt
0.2873 0.2873 0.5000 Pt
0.7127 0.7127 0.5000 Pt
0.7873 0.7873 0.0000 Pt
```

=====

For Cr3IrRh3, DFT lattice parameters and positions (PBE) gives the calculated X-ray diffraction stick pattern in this record (λ = 1.5418 Å (Cu Kα)).

The 10 most intense peaks (2θ from 5° to 70°), low angle first:
two_theta	intensity
21.2	7
26.4	7
30.2	36
31.5	18
43.2	51
44.2	100
54.4	13
62.7	14
65.7	8
65.8	8

```
Cr3IrRh3
1.0
4.1873 -4.1906 0.0000
4.1873 4.1906 0.0000
0.0000 0.0000 5.6776
Cr Ir Rh
6 2 6
direct
0.0000 0.0000 0.2472 Cr
0.0000 0.0000 0.7528 Cr
0.0000 0.5000 0.2494 Cr
0.0000 0.5000 0.7506 Cr
0.5000 0.0000 0.2494 Cr
0.5000 0.0000 0.7506 Cr
0.2637 0.7363 0.0000 Ir
0.7363 0.2637 0.0000 Ir
0.2686 0.2686 0.5000 Rh
0.2738 0.7262 0.5000 Rh
0.2816 0.2816 0.0000 Rh
0.7184 0.7184 0.0000 Rh
0.7262 0.2738 0.5000 Rh
0.7314 0.7314 0.5000 Rh
```

=====

For CrInI6, DFT lattice parameters and positions (PBE) gives the calculated X-ray diffraction stick pattern in this record (λ = 1.5418 Å (Cu Kα)).

The 10 most intense peaks (2θ from 5° to 70°), low angle first:
two_theta	intensity
13.4	100
25.1	25
25.4	39
26.0	38
27.0	76
27.4	19
33.7	31
36.0	17
40.7	29
46.1	16

```
CrInI6
1.0
3.8598 -6.5992 0.0000
3.8598 6.5992 0.0000
-0.6321 0.0000 7.0877
Cr In I
1 1 6
direct
0.0000 0.0000 0.0000 Cr
0.0000 0.0000 0.5000 In
0.0013 0.7084 0.2162 I
0.2904 0.2904 0.2581 I
0.2916 0.9987 0.7838 I
0.7084 0.0013 0.2162 I
0.7096 0.7096 0.7419 I
0.9987 0.2916 0.7838 I
```

=====

For K2Hg3S4, DFT lattice parameters and positions (PBE) gives the calculated X-ray diffraction stick pattern in this record (λ = 1.5418 Å (Cu Kα)).

The 10 most intense peaks (2θ from 5° to 70°), low angle first:
two_theta	intensity
12.8	100
25.8	21
27.2	27
28.2	28
28.9	24
31.1	44
32.9	31
38.6	26
42.3	17
48.3	20

```
K2Hg3S4
1.0
10.7613 0.0000 0.0000
0.0000 6.7383 0.0000
0.0000 0.0000 13.8189
K Hg S
8 12 16
direct
0.1194 0.2361 0.0028 K
0.1194 0.7639 0.5028 K
0.3806 0.2639 0.5028 K
0.3806 0.7361 0.0028 K
0.6194 0.2639 0.9972 K
0.6194 0.7361 0.4972 K
0.8806 0.2361 0.4972 K
0.8806 0.7639 0.9972 K
0.0000 0.4045 0.7500 Hg
0.0000 0.5955 0.2500 Hg
0.1584 0.0957 0.2595 Hg
0.1584 0.9043 0.7595 Hg
0.3416 0.4043 0.7595 Hg
0.3416 0.5957 0.2595 Hg
0.5000 0.0955 0.2500 Hg
0.5000 0.9045 0.7500 Hg
0.6584 0.4043 0.7405 Hg
0.6584 0.5957 0.2405 Hg
0.8416 0.0957 0.2405 Hg
0.8416 0.9043 0.7405 Hg
0.1300 0.3720 0.3682 S
0.1300 0.6280 0.8682 S
0.1336 0.1632 0.6410 S
0.1336 0.8368 0.1410 S
0.3664 0.3368 0.1410 S
0.3664 0.6632 0.6410 S
0.3700 0.1280 0.8682 S
0.3700 0.8720 0.3682 S
0.6300 0.1280 0.6318 S
0.6300 0.8720 0.1318 S
0.6336 0.3368 0.3590 S
0.6336 0.6632 0.8590 S
0.8664 0.1632 0.8590 S
0.8664 0.8368 0.3590 S
0.8700 0.3720 0.1318 S
0.8700 0.6280 0.6318 S
```

=====

For K2LiTlBr6, DFT lattice parameters and positions (PBE) gives the calculated X-ray diffraction stick pattern in this record (λ = 1.5418 Å (Cu Kα)).

The 10 most intense peaks (2θ from 5° to 70°), low angle first:
two_theta	intensity
14.0	91
14.4	47
16.3	99
16.5	47
26.8	65
27.4	100
27.7	70
32.9	92
33.4	55
36.3	43

```
K2LiTlBr6
1.0
7.5659 0.0000 0.0000
0.0000 7.8602 0.0000
-7.4698 0.0000 10.7351
K Li Tl Br
4 2 2 12
direct
0.2255 0.0747 0.2485 K
0.2255 0.4253 0.7485 K
0.7745 0.5747 0.2515 K
0.7745 0.9253 0.7515 K
0.0000 0.0000 0.5000 Li
0.0000 0.5000 0.0000 Li
0.5000 0.0000 0.0000 Tl
0.5000 0.5000 0.5000 Tl
0.1532 0.1992 0.9533 Br
0.1532 0.3008 0.4533 Br
0.2588 0.7010 0.9571 Br
0.2588 0.7990 0.4571 Br
0.3385 0.0138 0.7466 Br
0.3385 0.4862 0.2466 Br
0.6615 0.5138 0.7534 Br
0.6615 0.9862 0.2534 Br
0.7412 0.2010 0.5429 Br
0.7412 0.2990 0.0429 Br
0.8468 0.6992 0.5467 Br
0.8468 0.8008 0.0467 Br
```

=====

Please write out number 1 again, unchanged.
For Mg8TlCd2, DFT lattice parameters and positions (PBE) gives the calculated X-ray diffraction stick pattern in this record (λ = 1.5418 Å (Cu Kα)).

The 10 most intense peaks (2θ from 5° to 70°), low angle first:
two_theta	intensity
22.0	66
22.4	74
23.9	26
26.5	49
36.0	100
37.3	29
38.3	18
40.9	20
43.9	25
44.6	25

```
Mg8TlCd2
1.0
4.4316 -7.0432 0.0000
4.4316 7.0432 0.0000
-2.6170 0.0000 4.0483
Mg Tl Cd
8 1 2
direct
0.0000 0.0000 0.0000 Mg
0.1645 0.8468 0.5056 Mg
0.2145 0.4693 0.3424 Mg
0.3438 0.7562 0.0494 Mg
0.4693 0.2145 0.3424 Mg
0.6948 0.6948 0.1957 Mg
0.7562 0.3438 0.0494 Mg
0.8468 0.1645 0.5056 Mg
0.2856 0.2856 0.7859 Tl
0.5896 0.9028 0.7451 Cd
0.9028 0.5896 0.7451 Cd
```

=====

Copy entry 5 word for word.
For K2Hg3S4, DFT lattice parameters and positions (PBE) gives the calculated X-ray diffraction stick pattern in this record (λ = 1.5418 Å (Cu Kα)).

The 10 most intense peaks (2θ from 5° to 70°), low angle first:
two_theta	intensity
12.8	100
25.8	21
27.2	27
28.2	28
28.9	24
31.1	44
32.9	31
38.6	26
42.3	17
48.3	20

```
K2Hg3S4
1.0
10.7613 0.0000 0.0000
0.0000 6.7383 0.0000
0.0000 0.0000 13.8189
K Hg S
8 12 16
direct
0.1194 0.2361 0.0028 K
0.1194 0.7639 0.5028 K
0.3806 0.2639 0.5028 K
0.3806 0.7361 0.0028 K
0.6194 0.2639 0.9972 K
0.6194 0.7361 0.4972 K
0.8806 0.2361 0.4972 K
0.8806 0.7639 0.9972 K
0.0000 0.4045 0.7500 Hg
0.0000 0.5955 0.2500 Hg
0.1584 0.0957 0.2595 Hg
0.1584 0.9043 0.7595 Hg
0.3416 0.4043 0.7595 Hg
0.3416 0.5957 0.2595 Hg
0.5000 0.0955 0.2500 Hg
0.5000 0.9045 0.7500 Hg
0.6584 0.4043 0.7405 Hg
0.6584 0.5957 0.2405 Hg
0.8416 0.0957 0.2405 Hg
0.8416 0.9043 0.7405 Hg
0.1300 0.3720 0.3682 S
0.1300 0.6280 0.8682 S
0.1336 0.1632 0.6410 S
0.1336 0.8368 0.1410 S
0.3664 0.3368 0.1410 S
0.3664 0.6632 0.6410 S
0.3700 0.1280 0.8682 S
0.3700 0.8720 0.3682 S
0.6300 0.1280 0.6318 S
0.6300 0.8720 0.1318 S
0.6336 0.3368 0.3590 S
0.6336 0.6632 0.8590 S
0.8664 0.1632 0.8590 S
0.8664 0.8368 0.3590 S
0.8700 0.3720 0.1318 S
0.8700 0.6280 0.6318 S
```